For NaVP2O8, DFT lattice parameters and positions (PBE+U) gives the theoretical X-ray diffraction stick pattern in this record (λ = 1.5418 Å (Cu Kα)).

Crystal structure
abc: 8.2261 8.2261 10.2282
angles: 90.00 90.00 90.00
Space group P4_2nm (No. 102)
One atom of each set of equivalent atoms:
Na 0.1556 0.1556 0.0000 [4 per cell]
V 0.0000 0.5000 0.2203 [4 per cell]
P 0.1252 0.8748 0.7400 [4 per cell]
P 0.1366 0.8634 0.2522 [4 per cell]
O 0.0000 0.0000 0.2171 [2 per cell]
O 0.0000 0.0000 0.6726 [2 per cell]
O 0.0000 0.5000 0.3764 [4 per cell]
O 0.0710 0.7147 0.1732 [8 per cell]
O 0.0781 0.7099 0.6760 [8 per cell]
O 0.1189 0.8811 0.8855 [4 per cell]
O 0.1656 0.8344 0.3931 [4 per cell]

Largest 10 diffraction maxima, sorted by position, 2θ = 15–90°:
2θ/deg  d_spacing  I_rel  index
17.34  5.114  1000  0 0 2
17.54  5.056  101  1 1 1
21.61  4.113  173  2 0 0
24.19  3.679  470  2 1 0
27.84  3.205  224  2 0 2
29.92  2.986  508  2 1 2
34.48  2.601  297  3 1 0
35.09  2.557  159  0 0 4
38.84  2.319  138  3 1 2
49.56  1.839  141  4 2 0